For Ca2BrN, DFT lattice parameters and positions (GGA-PBE) gives the theoretical XRD peak list in this record (a wavelength of 1.5418 Å).
No peak broadening, texture or thermal motion is included.

Atomic structure:
```
data_Ca2BrN
_symmetry_space_group_name_H-M 'R -3 m'
_symmetry_Int_Tables_number 166
_symmetry_space_group_name_Hall '-R 3 2"'
_cell_length_a 3.7244
_cell_length_b 3.7244
_cell_length_c 20.7947
_cell_angle_alpha 90.00
_cell_angle_beta 90.00
_cell_angle_gamma 120.00
loop_
_atom_site_label
_atom_site_fract_x
_atom_site_fract_y
_atom_site_fract_z
Ca1 0.0000 0.0000 0.2254
Br1 0.0000 0.0000 0.0000
N1 0.0000 0.0000 0.5000
```

Peak list (10 most intense, 2θ from 10° to 90°, in order of rising 2θ)
two_theta  I/Imax
27.99  36.1
32.67  100.0
35.21  48.4
38.98  17.1
44.78  22.0
48.91  35.2
60.07  15.2
64.24  22.3
65.09  9.8
81.01  12.3